1.
Computed XRD peak list of Lu3Ga2 for Cu Kα (λ = 1.5418 Å), from a cell relaxed with GGA-PBE.

a = 11.3428 Å, b = 11.3428 Å, c = 14.5813 Å
α = 90.00°, β = 90.00°, γ = 90.00°
Space group I4/mcm (No. 140)
Inequivalent atoms, fractional coordinates:
Lu (0.0000, 0.5000, 0.1464)
Lu (0.0675, 0.2041, 0.1364)
Lu (0.1689, 0.3311, 0.5000)
Ga (0.0000, 0.0000, 0.0000)
Ga (0.0000, 0.0000, 0.2500)
Ga (0.1173, 0.3827, 0.0000)
Ga (0.1774, 0.3226, 0.2998)

Peak list (8 most intense, 15 to 90 degrees two-theta, sorted by position)
index, 2theta, I (rel.)
4 1 1, 33.15, 100
3 3 0, 33.52, 29
3 2 3, 33.94, 41
3 1 4, 35.10, 91
4 2 0, 35.39, 26
4 1 3, 37.57, 29
4 1 7, 55.32, 19
7 1 4, 63.34, 19



2.
Computed XRD peak list of HfNi for Cu Kα (λ = 1.5418 Å), from a cell relaxed with GGA-PBE.

a = 3.2378 Å, b = 9.7742 Å, c = 4.0858 Å
α = 90.00°, β = 90.00°, γ = 90.00°
Space group Cmcm (No. 63)
Inequivalent atoms, fractional coordinates:
Hf (0.0000, 0.1403, 0.2500)
Ni (0.0000, 0.4163, 0.2500)

Peak list (8 most intense, 15 to 90 degrees two-theta, sorted by position)
index, 2theta, I (rel.)
0 2 1, 28.47, 45
1 1 1, 36.59, 100
0 4 0, 36.78, 33
1 3 0, 39.23, 35
0 0 2, 44.34, 30
1 3 1, 45.30, 43
1 3 2, 60.67, 20
1 7 0, 73.94, 18



3.
Computed XRD peak list of Al11Cr4 for Cu Kα (λ = 1.5418 Å), from a cell relaxed with GGA-PBE.

a = 5.0991 Å, b = 5.1486 Å, c = 8.9595 Å
α = 74.28°, β = 89.60°, γ = 79.42°
Space group P-1 (No. 2)
Inequivalent atoms, fractional coordinates:
Al (0.0000, 0.0000, 0.0000)
Al (0.0567, 0.8286, 0.3169)
Al (0.1501, 0.5343, 0.8749)
Al (0.1837, 0.2782, 0.3697)
Al (0.4248, 0.3293, 0.6277)
Al (0.4837, 0.1025, 0.1238)
Cr (0.3009, 0.8550, 0.6000)
Cr (0.3423, 0.6026, 0.1336)

Peak list (8 most intense, 15 to 90 degrees two-theta, sorted by position)
index, 2theta, I (rel.)
2 0 -2, 40.87, 59
2 1 2, 41.05, 43
0 2 -1, 41.22, 37
0 2 3, 41.54, 45
0 0 4, 41.93, 100
2 0 2, 42.58, 33
-1 2 1, 42.89, 44
-2 1 1, 43.29, 32



4.
Computed XRD peak list of NaGaH8N2F6 for Cu Kα (λ = 1.5418 Å), from a cell relaxed with GGA-PBE.

a = 8.5713 Å, b = 8.5713 Å, c = 8.5713 Å
α = 90.00°, β = 90.00°, γ = 90.00°
Space group Fm-3m (No. 225)
Inequivalent atoms, fractional coordinates:
Na (0.0000, 0.0000, 0.0000)
Ga (0.0000, 0.0000, 0.5000)
H (0.1807, 0.1807, 0.3193)
N (0.2500, 0.2500, 0.2500)
F (0.0000, 0.0000, 0.2753)

Peak list (8 most intense, 15 to 90 degrees two-theta, sorted by position)
index, 2theta, I (rel.)
1 1 1, 17.92, 89
2 0 0, 20.73, 100
2 2 0, 29.48, 74
4 0 0, 42.17, 78
4 2 0, 47.44, 48
4 2 2, 52.29, 21
4 4 0, 61.17, 41
6 0 0, 65.32, 21



5.
Computed XRD peak list of SmNiB4 for Cu Kα (λ = 1.5418 Å), from a cell relaxed with GGA-PBE.

a = 7.6244 Å, b = 7.6244 Å, c = 8.5964 Å
α = 90.00°, β = 90.00°, γ = 90.00°
Space group I4/mmm (No. 139)
Inequivalent atoms, fractional coordinates:
Sm (0.0000, 0.0000, 0.2044)
Sm (0.0000, 0.5000, 0.2500)
Ni (0.0000, 0.2281, 0.5000)
B (0.1120, 0.2758, 0.0000)
B (0.2345, 0.2345, 0.3479)

Peak list (8 most intense, 15 to 90 degrees two-theta, sorted by position)
index, 2theta, I (rel.)
2 0 0, 23.33, 71
2 1 1, 28.15, 21
2 0 2, 31.36, 82
1 0 3, 33.41, 28
2 2 2, 39.46, 100
4 0 0, 47.71, 33
4 2 2, 58.22, 25
3 2 5, 70.56, 24



6.
Computed XRD peak list of RbAgF3 for Cu Kα (λ = 1.5418 Å), from a cell relaxed with GGA-PBE.

a = 4.4627 Å, b = 4.4627 Å, c = 4.3878 Å
α = 90.00°, β = 90.00°, γ = 90.00°
Space group P4/mmm (No. 123)
Inequivalent atoms, fractional coordinates:
Rb (0.0000, 0.0000, 0.0000)
Ag (0.5000, 0.5000, 0.5000)
F (0.0000, 0.5000, 0.5000)
F (0.5000, 0.5000, 0.0000)

Peak list (8 most intense, 15 to 90 degrees two-theta, sorted by position)
index, 2theta, I (rel.)
1 1 0, 28.28, 51
1 0 1, 28.53, 100
2 0 0, 40.42, 40
0 0 2, 41.14, 19
2 1 1, 50.22, 41
1 1 2, 50.68, 20
2 2 0, 58.50, 12
2 0 2, 59.05, 24



7.
Computed XRD peak list of Li7ZrO6 for Cu Kα (λ = 1.5418 Å), from a cell relaxed with GGA-PBE.

a = 5.6704 Å, b = 5.6704 Å, c = 15.2235 Å
α = 90.00°, β = 90.00°, γ = 120.00°
Space group R3 (No. 146, hexagonal axes)
Inequivalent atoms, fractional coordinates:
Li (0.0000, 0.0000, 0.0000)
Li (0.0537, 0.7118, 0.8702)
Li (0.0584, 0.3783, 0.1036)
Zr (0.0000, 0.0000, 0.6531)
O (0.0116, 0.6313, 0.4036)
O (0.0146, 0.3025, 0.5685)

Peak list (8 most intense, 15 to 90 degrees two-theta, sorted by position)
index, 2theta, I (rel.)
0 0 3, 17.48, 25
1 0 1, 18.99, 100
0 1 2, 21.53, 74
1 0 4, 29.70, 24
0 1 5, 34.67, 17
1 1 3, 36.30, 59
1 1 6, 48.13, 36
3 0 0, 56.19, 19